1.
For MgCr2P2O10, a GGA+U-relaxed structure gives the computed X-ray diffraction stick pattern in this record (Cu Kα, 1.54184 Å).
Kinematic intensities with the Lorentz-polarization factor, no thermal factor.

Structure:
Lattice parameters (Å, degrees): 5.125 5.370 7.062 109.43 108.85 93.56
Space group P1 (No. 1)
Symmetry-distinct sites (fractional):
Mg (0.000, 0.000, 0.000) (multiplicity 1)
Cr (0.003, 0.499, 0.496) (multiplicity 1)
Cr (0.999, 0.500, 0.997) (multiplicity 1)
P (0.363, 0.146, 0.731) (multiplicity 1)
P (0.638, 0.853, 0.268) (multiplicity 1)
O (0.047, 0.382, 0.227) (multiplicity 1)
O (0.232, 0.229, 0.911) (multiplicity 1)
O (0.250, 0.851, 0.586) (multiplicity 1)
O (0.314, 0.822, 0.160) (multiplicity 1)
O (0.317, 0.347, 0.615) (multiplicity 1)
O (0.687, 0.179, 0.842) (multiplicity 1)
O (0.688, 0.654, 0.386) (multiplicity 1)
O (0.755, 0.148, 0.412) (multiplicity 1)
O (0.765, 0.768, 0.085) (multiplicity 1)
O (0.956, 0.617, 0.772) (multiplicity 1)

Largest 6 diffraction maxima, sorted by position, 2θ from 5° to 70°:
18.6°, I = 60
27.5°, I = 59
27.6°, I = 36
28.0°, I = 100
28.3°, I = 62
44.2°, I = 25

2.
For MgCrPO5, a GGA+U-relaxed structure gives the computed X-ray diffraction stick pattern in this record (Cu Kα, 1.54184 Å).
Kinematic intensities with the Lorentz-polarization factor, no thermal factor.

Structure:
Lattice parameters (Å, degrees): 6.705 8.206 7.055 90.00 114.44 90.00
Space group C2/c (No. 15)
Symmetry-distinct sites (fractional):
Mg (0.000, 0.169, 0.250) (multiplicity 4)
Cr (0.000, 0.500, 0.000) (multiplicity 4)
P (0.000, 0.170, 0.750) (multiplicity 4)
O (0.000, 0.407, 0.250) (multiplicity 4)
O (0.101, 0.276, 0.633) (multiplicity 8)
O (0.169, 0.045, 0.899) (multiplicity 8)

Largest 6 diffraction maxima, sorted by position, 2θ from 5° to 70°:
18.1°, I = 27
27.7°, I = 100
29.3°, I = 71
35.5°, I = 46
36.0°, I = 39
56.4°, I = 23

3.
For MgCr4P4O16, a GGA+U-relaxed structure gives the computed X-ray diffraction stick pattern in this record (Cu Kα, 1.54184 Å).
Kinematic intensities with the Lorentz-polarization factor, no thermal factor.

Structure:
Lattice parameters (Å, degrees): 5.727 6.538 9.578 70.50 78.49 79.54
Space group P1 (No. 1)
Symmetry-distinct sites (fractional):
Mg (0.000, 0.000, 0.000) (multiplicity 1)
Cr (0.132, 0.455, 0.000) (multiplicity 1)
Cr (0.308, 0.552, 0.381) (multiplicity 1)
Cr (0.722, 0.201, 0.268) (multiplicity 1)
Cr (0.880, 0.289, 0.623) (multiplicity 1)
P (0.190, 0.087, 0.362) (multiplicity 1)
P (0.305, 0.213, 0.738) (multiplicity 1)
P (0.705, 0.521, 0.887) (multiplicity 1)
P (0.836, 0.672, 0.259) (multiplicity 1)
O (0.056, 0.658, 0.132) (multiplicity 1)
O (0.101, 0.057, 0.771) (multiplicity 1)
O (0.109, 0.180, 0.201) (multiplicity 1)
O (0.187, 0.414, 0.621) (multiplicity 1)
O (0.289, 0.234, 0.898) (multiplicity 1)
O (0.301, 0.852, 0.392) (multiplicity 1)
O (0.374, 0.233, 0.366) (multiplicity 1)
O (0.447, 0.586, 0.954) (multiplicity 1)
O (0.562, 0.142, 0.677) (multiplicity 1)
O (0.645, 0.538, 0.252) (multiplicity 1)
O (0.707, 0.479, 0.739) (multiplicity 1)
O (0.755, 0.920, 0.209) (multiplicity 1)
O (0.826, 0.307, 0.002) (multiplicity 1)
O (0.889, 0.678, 0.877) (multiplicity 1)
O (0.913, 0.579, 0.416) (multiplicity 1)
O (0.960, 0.124, 0.471) (multiplicity 1)

Largest 6 diffraction maxima, sorted by position, 2θ from 5° to 70°:
14.5°, I = 100
15.9°, I = 30
19.9°, I = 43
23.6°, I = 47
29.9°, I = 46
31.9°, I = 37

4.
For MgCr2P2O10, a GGA+U-relaxed structure gives the computed X-ray diffraction stick pattern in this record (Cu Kα, 1.54184 Å).
Kinematic intensities with the Lorentz-polarization factor, no thermal factor.

Structure:
Lattice parameters (Å, degrees): 5.564 6.100 6.112 90.16 91.86 90.68
Space group P1 (No. 1)
Symmetry-distinct sites (fractional):
Mg (0.000, 0.000, 0.000) (multiplicity 1)
Cr (0.259, 0.406, 0.099) (multiplicity 1)
Cr (0.717, 0.905, 0.596) (multiplicity 1)
P (0.487, 0.404, 0.598) (multiplicity 1)
P (0.488, 0.900, 0.103) (multiplicity 1)
O (0.012, 0.933, 0.669) (multiplicity 1)
O (0.293, 0.724, 0.043) (multiplicity 1)
O (0.319, 0.469, 0.402) (multiplicity 1)
O (0.320, 0.091, 0.163) (multiplicity 1)
O (0.346, 0.349, 0.804) (multiplicity 1)
O (0.631, 0.200, 0.531) (multiplicity 1)
O (0.646, 0.963, 0.908) (multiplicity 1)
O (0.655, 0.602, 0.651) (multiplicity 1)
O (0.682, 0.843, 0.279) (multiplicity 1)
O (0.965, 0.334, 0.073) (multiplicity 1)

Largest 6 diffraction maxima, sorted by position, 2θ from 5° to 70°:
15.9°, I = 43
21.3°, I = 73
21.5°, I = 65
21.8°, I = 36
22.0°, I = 36
29.3°, I = 100

5.
For MgCrP4O12, a GGA+U-relaxed structure gives the computed X-ray diffraction stick pattern in this record (Cu Kα, 1.54184 Å).
Kinematic intensities with the Lorentz-polarization factor, no thermal factor.

Structure:
Lattice parameters (Å, degrees): 12.316 8.387 10.123 90.00 119.25 90.00
Space group C2/c (No. 15)
Symmetry-distinct sites (fractional):
Mg (0.000, 0.045, 0.250) (multiplicity 4)
Cr (0.250, 0.250, 0.500) (multiplicity 4)
P (0.010, 0.262, 0.979) (multiplicity 8)
P (0.193, 0.492, 0.194) (multiplicity 8)
O (0.032, 0.126, 0.902) (multiplicity 8)
O (0.038, 0.231, 0.411) (multiplicity 8)
O (0.079, 0.388, 0.650) (multiplicity 8)
O (0.139, 0.359, 0.063) (multiplicity 8)
O (0.205, 0.077, 0.323) (multiplicity 8)
O (0.228, 0.423, 0.344) (multiplicity 8)

Largest 6 diffraction maxima, sorted by position, 2θ from 5° to 70°:
14.1°, I = 37
20.6°, I = 27
24.2°, I = 33
27.0°, I = 50
29.4°, I = 100
33.4°, I = 27

6.
For MgCr2P2O10, a GGA+U-relaxed structure gives the computed X-ray diffraction stick pattern in this record (Cu Kα, 1.54184 Å).
Kinematic intensities with the Lorentz-polarization factor, no thermal factor.

Structure:
Lattice parameters (Å, degrees): 5.256 5.353 6.947 106.68 105.92 99.72
Space group P1 (No. 1)
Symmetry-distinct sites (fractional):
Mg (0.000, 0.000, 0.000) (multiplicity 1)
Cr (0.716, 0.358, 0.751) (multiplicity 1)
Cr (0.717, 0.377, 0.257) (multiplicity 1)
P (0.052, 0.015, 0.504) (multiplicity 1)
P (0.394, 0.709, 0.004) (multiplicity 1)
O (0.000, 0.713, 0.374) (multiplicity 1)
O (0.091, 0.630, 0.852) (multiplicity 1)
O (0.349, 0.125, 0.656) (multiplicity 1)
O (0.419, 0.009, 0.133) (multiplicity 1)
O (0.420, 0.520, 0.136) (multiplicity 1)
O (0.614, 0.700, 0.893) (multiplicity 1)
O (0.660, 0.416, 0.497) (multiplicity 1)
O (0.803, 0.288, 0.012) (multiplicity 1)
O (0.870, 0.049, 0.650) (multiplicity 1)
O (0.990, 0.159, 0.335) (multiplicity 1)

Largest 6 diffraction maxima, sorted by position, 2θ from 5° to 70°:
18.0°, I = 32
18.2°, I = 58
27.9°, I = 88
28.2°, I = 64
29.0°, I = 100
36.1°, I = 38

7.
For MgCr2P2O9, a GGA+U-relaxed structure gives the computed X-ray diffraction stick pattern in this record (Cu Kα, 1.54184 Å).
Kinematic intensities with the Lorentz-polarization factor, no thermal factor.

Structure:
Lattice parameters (Å, degrees): 14.135 6.312 7.296 90.00 90.00 90.00
Space group Pnma (No. 62)
Symmetry-distinct sites (fractional):
Mg (0.226, 0.250, 0.082) (multiplicity 4)
Cr (0.000, 0.000, 0.000) (multiplicity 4)
Cr (0.123, 0.250, 0.644) (multiplicity 4)
P (0.072, 0.750, 0.635) (multiplicity 4)
P (0.193, 0.750, 0.112) (multiplicity 4)
O (0.003, 0.250, 0.510) (multiplicity 4)
O (0.023, 0.750, 0.829) (multiplicity 4)
O (0.054, 0.250, 0.871) (multiplicity 4)
O (0.134, 0.540, 0.106) (multiplicity 8)
O (0.143, 0.563, 0.626) (multiplicity 8)
O (0.233, 0.250, 0.454) (multiplicity 4)
O (0.246, 0.250, 0.792) (multiplicity 4)

Largest 6 diffraction maxima, sorted by position, 2θ from 5° to 70°:
17.5°, I = 52
22.5°, I = 30
25.2°, I = 100
28.3°, I = 32
31.5°, I = 62
34.0°, I = 29

8.
For MgCr2P2O10, a GGA+U-relaxed structure gives the computed X-ray diffraction stick pattern in this record (Cu Kα, 1.54184 Å).
Kinematic intensities with the Lorentz-polarization factor, no thermal factor.

Structure:
Lattice parameters (Å, degrees): 6.124 6.124 5.450 90.00 90.00 90.00
Space group P-4 (No. 81)
Symmetry-distinct sites (fractional):
Mg (0.000, 0.000, 0.000) (multiplicity 1)
Cr (0.000, 0.500, 0.270) (multiplicity 2)
P (0.000, 0.000, 0.500) (multiplicity 1)
P (0.500, 0.500, 0.500) (multiplicity 1)
O (0.000, 0.500, 0.964) (multiplicity 2)
O (0.062, 0.181, 0.313) (multiplicity 4)
O (0.298, 0.564, 0.344) (multiplicity 4)

Largest 6 diffraction maxima, sorted by position, 2θ from 5° to 70°:
16.3°, I = 19
21.8°, I = 100
26.3°, I = 20
29.2°, I = 65
39.1°, I = 20
58.5°, I = 21

9.
For MgCr2P2O10, a GGA+U-relaxed structure gives the computed X-ray diffraction stick pattern in this record (Cu Kα, 1.54184 Å).
Kinematic intensities with the Lorentz-polarization factor, no thermal factor.

Structure:
Lattice parameters (Å, degrees): 11.302 7.152 9.740 90.00 125.44 90.00
Space group C2 (No. 5)
Symmetry-distinct sites (fractional):
Mg (0.000, 0.000, 0.000) (multiplicity 2)
Mg (0.000, 0.250, 0.500) (multiplicity 2)
Cr (0.000, 0.623, 0.250) (multiplicity 4)
Cr (0.249, 0.373, 0.250) (multiplicity 4)
P (0.207, 0.998, 0.415) (multiplicity 4)
P (0.208, 0.248, 0.915) (multiplicity 4)
O (0.078, 0.498, 0.159) (multiplicity 4)
O (0.080, 0.747, 0.659) (multiplicity 4)
O (0.124, 0.470, 0.471) (multiplicity 4)
O (0.124, 0.779, 0.970) (multiplicity 4)
O (0.137, 0.417, 0.796) (multiplicity 4)
O (0.137, 0.827, 0.299) (multiplicity 4)
O (0.154, 0.029, 0.530) (multiplicity 4)
O (0.154, 0.220, 0.029) (multiplicity 4)
O (0.159, 0.167, 0.296) (multiplicity 4)
O (0.162, 0.077, 0.799) (multiplicity 4)

Largest 6 diffraction maxima, sorted by position, 2θ from 5° to 70°:
15.7°, I = 28
27.3°, I = 58
29.6°, I = 28
31.7°, I = 100
31.8°, I = 74
56.4°, I = 33